[1]
Calculated powder diffractogram
Compound: CeHo6S8
Radiation: Cu Kα (weighted mean of Kα1 and Kα2)
Structure: a PBE-relaxed structure
Lines closer than 0.1° are merged.

Structure:
Unit cell a=11.001 b=11.001 c=11.001 alpha=90.00 beta=90.00 gamma=90.00
Space group Fm-3m (No. 225)
Asymmetric unit:
Ce1 0.000 0.000 0.000 (multiplicity 4)
Ho1 0.000 0.250 0.250 (multiplicity 24)
S1 0.000 0.000 0.257 (multiplicity 24)
S2 0.250 0.250 0.250 (multiplicity 8)

Most intense lines, 2θ = 10–90°, most intense first:
Position (°2θ), I/Imax, hkl
32.56, 1000, 4 0 0
28.10, 723, 2 2 2
46.71, 716, 4 4 0
55.40, 357, 6 2 2
77.63, 317, 8 4 0
58.09, 247, 4 4 4
86.73, 246, 8 4 4
75.31, 145, 6 6 2

=====

[2]
Calculated powder diffractogram
Compound: CeHo4S7
Radiation: Cu Kα (weighted mean of Kα1 and Kα2)
Structure: a PBE-relaxed structure
Lines closer than 0.1° are merged.

Structure:
Unit cell a=12.956 b=3.809 c=11.658 alpha=90.00 beta=104.49 gamma=90.00
Space group Cm (No. 8)
Asymmetric unit:
Ce1 0.000 0.000 0.000 (multiplicity 2)
Ho1 0.113 0.000 0.423 (multiplicity 2)
Ho2 0.225 0.000 0.838 (multiplicity 2)
Ho3 0.313 0.500 0.236 (multiplicity 2)
Ho4 0.412 0.000 0.607 (multiplicity 2)
S1 0.069 0.000 0.635 (multiplicity 2)
S2 0.115 0.500 0.914 (multiplicity 2)
S3 0.158 0.000 0.211 (multiplicity 2)
S4 0.271 0.500 0.471 (multiplicity 2)
S5 0.350 0.500 0.767 (multiplicity 2)
S6 0.364 0.000 0.070 (multiplicity 2)
S7 0.455 0.000 0.371 (multiplicity 2)

Most intense lines, 2θ = 10–90°, most intense first:
Position (°2θ), I/Imax, hkl
24.37, 1000, 2 0 -3
23.70, 909, 2 0 2
33.07, 467, 3 1 -2
31.41, 408, 3 1 -1
34.09, 403, 3 1 1
27.55, 393, 4 0 -1
47.18, 335, 6 0 -4
26.24, 312, 1 1 1